1.
Structure and calculated X-ray powder pattern of Nd2V2H2Se4O17 (a DFT-relaxed cell (GGA+U, the Materials Project); Cu Kα X-rays).

```
data_Nd2V2H2Se4O17
_cell_length_a 25.6654
_cell_length_b 7.0596
_cell_length_c 8.3552
_cell_angle_alpha 90.00
_cell_angle_beta 91.19
_cell_angle_gamma 90.00
_space_group_name_H-M_alt 'C 1 2/c 1'
_space_group_IT_number 15
_space_group_name_Hall '-C 2yc'
loop_
_atom_site_label
_atom_site_fract_x
_atom_site_fract_y
_atom_site_fract_z
Nd1 0.2191 0.0756 0.2965
V1 0.0506 0.2764 0.1991
H1 0.0076 0.1662 0.8410
Se1 0.1038 0.0853 0.5249
Se2 0.1769 0.4302 0.9467
O1 0.0000 0.0834 0.7500
O2 0.0155 0.2822 0.3909
O3 0.0749 0.4873 0.1769
O4 0.0778 0.1439 0.0137
O5 0.1085 0.1345 0.3189
O6 0.1688 0.0359 0.5475
O7 0.1967 0.3514 0.1318
O8 0.2005 0.2674 0.8111
O9 0.2282 0.4044 0.4303
```

Largest 10 diffraction maxima, in order of rising 2θ, 2θ from 10° to 90°:
d [Å], I/Imax
5.278, 42
3.467, 94
3.403, 33
3.252, 26
3.146, 94
3.051, 42
2.969, 100
2.644, 54
2.000, 40
1.932, 31


2.
Structure and calculated X-ray powder pattern of NiP2H14O12 (a DFT-relaxed cell (GGA+U, the Materials Project); Cu Kα X-rays).

```
data_NiP2H14O12
_cell_length_a 9.3019
_cell_length_b 5.9628
_cell_length_c 12.9564
_cell_angle_alpha 90.00
_cell_angle_beta 130.74
_cell_angle_gamma 90.00
_space_group_name_H-M_alt 'P 1 21/c 1'
_space_group_IT_number 14
_space_group_name_Hall '-P 2ybc'
loop_
_atom_site_label
_atom_site_fract_x
_atom_site_fract_y
_atom_site_fract_z
Ni1 0.0000 0.0000 0.0000
P1 0.4591 0.1448 0.5292
H1 0.1103 0.1626 0.8692
H2 0.1170 0.6929 0.7278
H3 0.1883 0.2266 0.7098
H4 0.2239 0.1490 0.6108
H5 0.2959 0.7235 0.0855
H6 0.3448 0.5552 0.3945
H7 0.3786 0.5896 0.6961
O1 0.0074 0.6041 0.6533
O2 0.1260 0.2059 0.6132
O3 0.2773 0.6193 0.5978
O4 0.3142 0.2102 0.9031
O5 0.3470 0.7160 0.3700
O6 0.4051 0.0545 0.6098
```

Largest 10 diffraction maxima, in order of rising 2θ, 2θ from 10° to 90°:
d [Å], I/Imax
5.096, 17
5.015, 100
4.909, 76
4.634, 55
3.592, 67
3.234, 16
2.842, 41
2.708, 22
2.696, 19
1.902, 16


3.
Structure and calculated X-ray powder pattern of NiP2H8O10 (a DFT-relaxed cell (GGA+U, the Materials Project); Cu Kα X-rays).

```
data_NiP2H8O10
_cell_length_a 5.3396
_cell_length_b 9.9197
_cell_length_c 8.6674
_cell_angle_alpha 90.00
_cell_angle_beta 124.01
_cell_angle_gamma 90.00
_space_group_name_H-M_alt 'P 1 21/c 1'
_space_group_IT_number 14
_space_group_name_Hall '-P 2ybc'
loop_
_atom_site_label
_atom_site_fract_x
_atom_site_fract_y
_atom_site_fract_z
Ni1 0.0000 0.0000 0.0000
P1 0.0962 0.2164 0.3355
H1 0.1180 0.7219 0.0131
H2 0.4178 0.0769 0.8392
H3 0.4265 0.5496 0.2353
H4 0.4539 0.1095 0.5963
O1 0.0117 0.6708 0.3609
O2 0.1380 0.1310 0.8641
O3 0.1435 0.6675 0.1223
O4 0.4028 0.1402 0.4711
O5 0.4610 0.5357 0.7055
```

Largest 10 diffraction maxima, in order of rising 2θ, 2θ from 10° to 90°:
d [Å], I/Imax
5.819, 69
4.693, 64
4.426, 90
3.378, 49
3.181, 100
3.004, 49
2.939, 32
2.773, 20
2.345, 34
1.652, 21